Computed powder X-ray diffraction pattern
Compound: MgMn4Cu3O12
Radiation: CuKα
Structure: DFT lattice parameters and positions (GGA+U)

Atomic structure:
Lattice parameters (Å, degrees): 6.3719 6.3719 6.3719 109.47 109.47 109.47
Element x y z (fractional)
Mg 0.0000 0.0000 0.0000
Mn 0.0000 0.0000 0.5000
Mn 0.0000 0.5000 0.0000
Mn 0.5000 0.0000 0.0000
Mn 0.5000 0.5000 0.5000
Cu 0.0000 0.5000 0.5000
Cu 0.5000 0.0000 0.5000
Cu 0.5000 0.5000 0.0000
O 0.1370 0.8305 0.3065
O 0.1695 0.3065 0.4761
O 0.1695 0.6935 0.8630
O 0.3065 0.1370 0.8305
O 0.3065 0.4761 0.1695
O 0.4761 0.1695 0.3065
O 0.5239 0.8305 0.6935
O 0.6935 0.5239 0.8305
O 0.6935 0.8630 0.1695
O 0.8305 0.3065 0.1370
O 0.8305 0.6935 0.5239
O 0.8630 0.1695 0.6935

Most intense lines, 5° ≤ 2θ ≤ 70°, low angle first:
17.04°, I 7; 29.74°, I 9; 34.48°, I 100; 38.70°, I 7; 42.56°, I 2; 46.16°, I 4; 49.56°, I 26; 52.79°, I 2; 55.88°, I 1; 58.87°, I 1; 61.77°, I 50; 64.59°, I 1